No. 1
Diffraction record for K2Zn2Au. The X-ray diffraction stick pattern is simulated, not measured: it uses the PBE geometry in Alexandria and copper Kα.
Kinematic intensities with the Lorentz-polarization factor, no thermal factor.

Structure:
```
K2Zn2Au
1.0
5.2771 -3.9003 0.0000
5.2771 3.9003 0.0000
0.0000 0.0000 7.6051
K Zn Au
4 4 2
Cartesian
2.0111 0.0000 0.0000
2.0111 0.0000 3.8025
8.5432 0.0000 0.0000
8.5432 0.0000 3.8025
5.2771 1.1585 4.4679
5.2771 1.1585 6.9397
5.2771 -1.1585 0.6654
5.2771 -1.1585 3.1372
5.2771 1.2582 1.9013
5.2771 -1.2582 5.7038
```

Peak list (12 most intense, 10° ≤ 2θ ≤ 80°, in order of falling intensity)
2θ (°), Rel. int.
16.8, 100
14.1, 95
27.8, 56
38.3, 55
35.6, 55
18.3, 47
46.0, 45
45.6, 33
34.0, 29
49.8, 28
28.5, 27
28.9, 27



No. 2
Diffraction record for AgHS. The X-ray diffraction stick pattern is simulated, not measured: it uses the PBE geometry in Alexandria and copper Kα.
Kinematic intensities with the Lorentz-polarization factor, no thermal factor.

Structure:
```
AgHS
1.0
4.7881 0.0000 0.0000
0.0000 5.1748 0.0000
-3.9891 0.0000 4.7633
Ag H S
2 2 2
Cartesian
0.0000 0.0021 0.0000
-1.9946 5.1727 2.3816
2.1151 2.0650 0.3499
0.1205 3.1099 2.7316
1.3014 1.5255 1.3055
-0.6931 3.6493 3.6872
```

Peak list (12 most intense, 10° ≤ 2θ ≤ 80°, in order of falling intensity)
2θ (°), Rel. int.
17.1, 100
29.8, 78
28.7, 59
33.7, 41
42.8, 36
41.7, 29
42.1, 28
24.2, 25
52.2, 19
52.5, 19
61.5, 18
49.7, 12